The following is a theoretical powder diffraction line list of Co2CuSn2. It was derived from a PBE-relaxed structure, using copper Kα.
Lines closer than 0.1° are merged.

Peak list (10 most intense, 10 to 80 degrees two-theta, low angle first)
(hkl)  2θ (°)  intensity
2 1 0  29.45  12
2 0 1  37.62  23
2 1 1  39.98  100
3 1 0  42.13  38
0 0 2  54.42  13
4 1 0  55.92  9
3 3 0  57.67  8
4 1 1  62.86  15
3 3 1  64.52  9
3 1 2  71.13  16

Structural model:
a b c (Å): 6.782 6.782 3.372
angles (deg): 90.00 90.00 90.00
Space group P4/mbm (No. 127)
Symmetry-distinct sites (fractional):
Co 0.135 0.365 0.000 x4
Cu 0.000 0.000 0.000 x2
Sn 0.165 0.665 0.500 x4